For Na2GeN2, a crystal structure in Alexandria, relaxed with GGA-PBE gives the simulated X-ray diffraction stick pattern in this record (Cu Kα X-rays).
No peak broadening, texture or thermal motion is included.

Crystal structure
```
Na2GeN2
1.0
9.3059 0.0000 0.0000
0.0000 5.7094 0.0000
0.0000 0.0000 5.3269
Na Ge N
8 4 8
direct
0.1589 0.0890 0.1137
0.1589 0.9110 0.6137
0.3411 0.4110 0.6137
0.3411 0.5890 0.1137
0.6589 0.4110 0.8863
0.6589 0.5890 0.3863
0.8411 0.0890 0.3863
0.8411 0.9110 0.8863
0.0000 0.4847 0.7500
0.0000 0.5153 0.2500
0.5000 0.0153 0.2500
0.5000 0.9847 0.7500
0.0965 0.3159 0.4916
0.0965 0.6841 0.9916
0.4035 0.1841 0.9916
0.4035 0.8159 0.4916
0.5965 0.1841 0.5084
0.5965 0.8159 0.0084
0.9035 0.3159 0.0084
0.9035 0.6841 0.5084
```

Most intense lines, 2θ from 10° to 90°, low angle first:
- 2θ 18.23, intensity 100, hkl 1 1 0
- 2θ 19.07, intensity 50, hkl 2 0 0
- 2θ 31.33, intensity 19, hkl 0 2 0
- 2θ 32.86, intensity 76, hkl 3 1 0
- 2θ 36.97, intensity 28, hkl 2 2 0
- 2θ 38.53, intensity 37, hkl 1 1 2
- 2θ 38.96, intensity 18, hkl 2 0 2
- 2θ 47.74, intensity 22, hkl 3 1 2
- 2θ 50.83, intensity 22, hkl 2 2 2
- 2θ 60.63, intensity 17, hkl 1 3 2